This entry pairs a crystal structure of BaH2 with its theoretical powder diffraction line list. Radiation: Cu Kα X-rays. Structure: the GGA-PBE geometry in the Materials Project.
Lines closer than 0.1° are merged.

Crystal structure
```
data_BaH2
_symmetry_space_group_name_H-M 'P 63/m m c'
_symmetry_Int_Tables_number 194
_symmetry_space_group_name_Hall '-P 6c 2c'
_cell_length_a 4.4559
_cell_length_b 4.4559
_cell_length_c 6.0604
_cell_angle_alpha 90.00
_cell_angle_beta 90.00
_cell_angle_gamma 120.00
loop_
_atom_site_label
_atom_site_type_symbol
_atom_site_fract_x
_atom_site_fract_y
_atom_site_fract_z
_atom_site_occupancy
Ba1 Ba 0.3333 0.6667 0.2500 1
H1 H 0.0000 0.0000 0.0000 1
H2 H 0.3333 0.6667 0.7500 1
```

The 6 most intense peaks (10 to 90 degrees two-theta), low angle first:
(hkl)  2θ (°)  Rel. int.
1 0 0  23.0  26
1 0 1  27.4  100
0 0 2  29.5  19
1 1 0  40.5  25
2 0 1  49.6  19
1 1 2  50.9  24